No. 1
Starting from a PBE-relaxed structure, the X-ray powder pattern of Pu2CdSb4 was calculated for λ = 1.5418 Å (Cu Kα).

Principal peaks in the range 2θ = 10–90°, low angle first:
2theta, intensity, h k l
17.17, 9.5, 0 0 2
22.16, 20.7, 1 0 1
26.78, 14.7, 1 0 2
33.17, 15.6, 1 0 3
33.90, 100.0, 1 1 2
34.74, 15.1, 0 0 4
40.62, 11.0, 1 0 4
41.48, 33.5, 2 0 0
48.79, 10.6, 1 0 5
55.18, 16.1, 2 0 4
60.11, 11.2, 2 2 0
70.83, 24.9, 3 1 2

```
data_Pu2CdSb4
_symmetry_space_group_name_H-M 'P -4 m 2'
_symmetry_Int_Tables_number 115
_cell_length_a 4.3540
_cell_length_b 4.3540
_cell_length_c 10.3289
_cell_angle_alpha 90.00
_cell_angle_beta 90.00
_cell_angle_gamma 90.00
loop_
_symmetry_equiv_pos_as_xyz
'x,y,z'
'y,-x,-z'
'-x,-y,z'
'-y,x,-z'
'-x,y,z'
'-y,-x,-z'
'x,-y,z'
'y,x,-z'
loop_
_atom_site_label
_atom_site_type_symbol
_atom_site_fract_x
_atom_site_fract_y
_atom_site_fract_z
_atom_site_occupancy
Pu1 Pu 0.0000 0.5000 0.2360 1
Cd1 Cd 0.0000 0.0000 0.5000 1
Sb1 Sb 0.0000 0.0000 0.0000 1
Sb2 Sb 0.0000 0.5000 0.6869 1
Sb3 Sb 0.5000 0.5000 0.0000 1
```


No. 2
Starting from a PBE-relaxed structure, the X-ray powder pattern of PuScCd6 was calculated for λ = 1.5418 Å (Cu Kα).

Principal peaks in the range 2θ = 10–90°, low angle first:
2theta, intensity, h k l
14.85, 9.1, 0 1 1
23.56, 8.2, 1 1 1
29.96, 13.0, 0 2 2
33.46, 39.4, 0 0 4
35.28, 100.0, 1 2 2
36.86, 28.7, 2 0 0
38.31, 17.6, 1 0 4
50.60, 11.3, 2 0 4
50.89, 7.7, 0 4 0
64.47, 7.4, 2 4 0
65.40, 20.7, 3 2 2
70.49, 7.5, 2 3 5

```
data_PuScCd6
_symmetry_space_group_name_H-M 'A m m 2'
_symmetry_Int_Tables_number 38
_cell_length_a 4.8771
_cell_length_b 7.1772
_cell_length_c 10.7231
_cell_angle_alpha 90.00
_cell_angle_beta 90.00
_cell_angle_gamma 90.00
loop_
_symmetry_equiv_pos_as_xyz
'x,y,z'
'-x,-y,z'
'-x,y,z'
'x,-y,z'
'x,y+1/2,z+1/2'
'-x,-y+1/2,z+1/2'
'-x,y+1/2,z+1/2'
'x,-y+1/2,z+1/2'
loop_
_atom_site_label
_atom_site_type_symbol
_atom_site_fract_x
_atom_site_fract_y
_atom_site_fract_z
_atom_site_occupancy
Pu1 Pu 0.0000 0.0000 0.0000 1
Sc1 Sc 0.5000 0.0000 0.7428 1
Cd1 Cd 0.0000 0.0000 0.5545 1
Cd2 Cd 0.0000 0.2167 0.2732 1
Cd3 Cd 0.5000 0.0000 0.1969 1
Cd4 Cd 0.5000 0.2143 0.4685 1
```


- What is the formula in the second record?
  PuScCd6


- Which formula does entry 1 have?
  Pu2CdSb4